Starting from the PBE geometry in Alexandria, the X-ray powder pattern of RbCoCu2Mo was simulated for Cu Kα.
Neutral-atom scattering factors, no anomalous dispersion.

Peak list (10 most intense, 10° ≤ 2θ ≤ 80°, in order of falling intensity)
| 2θ (°) | intensity |
| --- | --- |
| 37.17 | 1000 |
| 31.51 | 961 |
| 52.17 | 720 |
| 18.34 | 606 |
| 35.27 | 579 |
| 65.78 | 345 |
| 53.57 | 331 |
| 63.49 | 225 |
| 26.05 | 206 |
| 40.04 | 162 |

Crystal structure
a = 4.838 Å, b = 4.838 Å, c = 5.089 Å
α = 90.00°, β = 90.00°, γ = 90.00°
Fractional positions:
1 Rb 0.000 0.000 0.000
2 Co 0.500 0.500 0.500
3 Cu 0.000 0.500 0.000
4 Cu 0.500 0.000 0.000
5 Mo 0.000 0.000 0.500

Starting from the PBE geometry in Alexandria, the X-ray powder pattern of NaCa6 was simulated for Cu Kα.
Neutral-atom scattering factors, no anomalous dispersion.

Peak list (10 most intense, 10° ≤ 2θ ≤ 80°, in order of falling intensity)
| 2θ (°) | intensity |
| --- | --- |
| 28.99 | 1000 |
| 51.42 | 260 |
| 41.46 | 171 |
| 68.07 | 130 |
| 51.29 | 79 |
| 60.15 | 53 |
| 60.01 | 48 |
| 10.87 | 24 |
| 75.69 | 24 |
| 32.97 | 10 |

Crystal structure
a = 9.484 Å, b = 9.484 Å, c = 9.484 Å
α = 118.26°, β = 118.26°, γ = 118.26°
Fractional positions:
1 Na 0.000 0.000 0.000
2 Ca 0.112 0.540 0.258
3 Ca 0.258 0.112 0.540
4 Ca 0.460 0.742 0.888
5 Ca 0.540 0.258 0.112
6 Ca 0.742 0.888 0.460
7 Ca 0.888 0.460 0.742

Starting from the PBE geometry in Alexandria, the X-ray powder pattern of MgAlSi was simulated for Cu Kα.
Neutral-atom scattering factors, no anomalous dispersion.

Peak list (10 most intense, 10° ≤ 2θ ≤ 80°, in order of falling intensity)
| 2θ (°) | intensity |
| --- | --- |
| 36.72 | 1000 |
| 34.25 | 664 |
| 43.98 | 502 |
| 40.62 | 426 |
| 34.86 | 274 |
| 42.97 | 265 |
| 47.31 | 250 |
| 42.70 | 186 |
| 66.58 | 177 |
| 62.96 | 142 |

Crystal structure
a = 6.593 Å, b = 4.117 Å, c = 7.913 Å
α = 90.00°, β = 90.00°, γ = 90.00°
Fractional positions:
1 Mg 0.033 0.250 0.174
2 Mg 0.467 0.750 0.674
3 Mg 0.533 0.250 0.326
4 Mg 0.967 0.750 0.826
5 Al 0.141 0.250 0.565
6 Al 0.359 0.750 0.065
7 Al 0.641 0.250 0.935
8 Al 0.859 0.750 0.435
9 Si 0.238 0.750 0.379
10 Si 0.262 0.250 0.879
11 Si 0.738 0.750 0.121
12 Si 0.762 0.250 0.621